Entry 1:
Starting from the GGA-PBE geometry in Alexandria, the XRD peak list of PmCuSb2 was computed for Cu Ka.
No peak broadening, texture or thermal motion is included.

Peak list (8 most intense, 10 to 90 degrees two-theta, low angle first)
2theta, intensity, index
27.08, 16, 1 0 2
33.77, 21, 1 0 3
34.09, 100, 1 1 2
41.34, 42, 2 0 0
50.07, 22, 1 0 5
59.89, 14, 2 2 0
66.87, 15, 2 1 5
70.75, 23, 3 1 2

```
data_PmCuSb2
_space_group_name_H-M_alt 'P 4/n m m'
_space_group_IT_number 129
_cell_length_a 4.368
_cell_length_b 4.368
_cell_length_c 10.026
_cell_angle_alpha 90.00
_cell_angle_beta 90.00
_cell_angle_gamma 90.00
loop_
_space_group_symop_operation_xyz
'x,y,z'
'-x,-y,-z'
'-y+1/2,x,z'
'y+1/2,-x,-z'
'-x+1/2,-y+1/2,z'
'x+1/2,y+1/2,-z'
'y,-x+1/2,z'
'-y,x+1/2,-z'
'x+1/2,-y,-z'
'-x+1/2,y,z'
'-y,-x,-z'
'y,x,z'
'-x,y+1/2,-z'
'x,-y+1/2,z'
'y+1/2,x+1/2,-z'
'-y+1/2,-x+1/2,z'
loop_
_atom_site_label
_atom_site_fract_x
_atom_site_fract_y
_atom_site_fract_z
_atom_site_occupancy
Pm1 0.250 0.250 0.250 1
Cu1 0.250 0.750 0.000 1
Sb1 0.250 0.250 0.845 1
Sb2 0.250 0.750 0.500 1
```



Entry 2:
Starting from the GGA-PBE geometry in Alexandria, the XRD peak list of K4Au2BrCl was computed for Cu Ka.
No peak broadening, texture or thermal motion is included.

Peak list (8 most intense, 10 to 90 degrees two-theta, low angle first)
2theta, intensity, index
11.30, 31, 0 0 1
22.26, 25, 2 0 -1
23.22, 36, 2 0 0
26.73, 100, 1 1 1
37.83, 39, 1 1 -3
38.48, 37, 0 2 0
47.47, 20, 2 2 -2
61.78, 17, 0 2 4

```
data_K4Au2BrCl
_space_group_name_H-M_alt 'P 1 2/m 1'
_space_group_IT_number 10
_cell_length_a 8.111
_cell_length_b 4.675
_cell_length_c 8.284
_cell_angle_alpha 90.00
_cell_angle_beta 109.00
_cell_angle_gamma 90.00
loop_
_space_group_symop_operation_xyz
'x,y,z'
'-x,-y,-z'
'-x,y,-z'
'x,-y,z'
loop_
_atom_site_label
_atom_site_fract_x
_atom_site_fract_y
_atom_site_fract_z
_atom_site_occupancy
K1 0.239 0.000 0.235 1
K2 0.247 0.500 0.761 1
Au1 0.000 0.000 0.500 1
Au2 0.500 0.500 0.500 1
Br1 0.500 0.000 0.000 1
Cl1 0.000 0.500 0.000 1
```



Entry 3:
Starting from the GGA-PBE geometry in Alexandria, the XRD peak list of Cu4Ni was computed for Cu Ka.
No peak broadening, texture or thermal motion is included.

Peak list (3 most intense, 10 to 90 degrees two-theta, low angle first)
2theta, intensity, index
43.54, 100, 0 1 5
50.71, 47, 1 0 10
74.54, 27, 1 1 0

```
data_Cu4Ni
_space_group_name_H-M_alt 'R -3 m'
_space_group_IT_number 166
_space_group_name_Hall '-R 3 2"'
_cell_length_a 2.5465
_cell_length_b 2.5465
_cell_length_c 31.1699
_cell_angle_alpha 90.00
_cell_angle_beta 90.00
_cell_angle_gamma 120.00
loop_
_atom_site_label
_atom_site_fract_x
_atom_site_fract_y
_atom_site_fract_z
_atom_site_occupancy
Cu1 0.0000 0.0000 0.1009 1
Cu2 0.0000 0.0000 0.2997 1
Ni1 0.0000 0.0000 0.5000 1
```



Entry 4:
Starting from the GGA-PBE geometry in Alexandria, the XRD peak list of Hg2GeTeSe2 was computed for Cu Ka.
No peak broadening, texture or thermal motion is included.

Peak list (8 most intense, 10 to 90 degrees two-theta, low angle first)
2theta, intensity, index
21.55, 98, 3 1 0
25.21, 96, 3 1 1
25.74, 68, 0 2 0
26.02, 100, 0 0 2
34.96, 82, 6 0 0
42.98, 70, 3 3 0
44.09, 48, 6 0 2
45.41, 88, 3 1 3

```
data_Hg2GeTeSe2
_space_group_name_H-M_alt 'C m c 21'
_space_group_IT_number 36
_cell_length_a 15.400
_cell_length_b 6.922
_cell_length_c 6.849
_cell_angle_alpha 90.00
_cell_angle_beta 90.00
_cell_angle_gamma 90.00
loop_
_space_group_symop_operation_xyz
'x,y,z'
'-x,-y,z+1/2'
'-x,y,z'
'x,-y,z+1/2'
'x+1/2,y+1/2,z'
'-x+1/2,-y+1/2,z+1/2'
'-x+1/2,y+1/2,z'
'x+1/2,-y+1/2,z+1/2'
loop_
_atom_site_label
_atom_site_fract_x
_atom_site_fract_y
_atom_site_fract_z
_atom_site_occupancy
Hg1 0.166 0.160 0.000 1
Ge1 0.000 0.282 0.551 1
Te1 0.000 0.323 0.140 1
Se1 0.173 0.216 0.609 1
```



Entry 5:
Starting from the GGA-PBE geometry in Alexandria, the XRD peak list of Nd3Dy2YHo6 was computed for Cu Ka.
No peak broadening, texture or thermal motion is included.

Peak list (8 most intense, 10 to 90 degrees two-theta, low angle first)
2theta, intensity, index
30.65, 100, 1 3 1
30.78, 33, 0 0 4
35.58, 67, 2 0 2
51.11, 24, 0 6 0
51.28, 24, 1 3 5
60.80, 24, 4 0 0
60.87, 19, 0 6 4
61.01, 14, 2 0 6

```
data_Nd3Dy2YHo6
_space_group_name_H-M_alt 'C 1 2/m 1'
_space_group_IT_number 12
_cell_length_a 6.193
_cell_length_b 10.720
_cell_length_c 11.800
_cell_angle_alpha 90.00
_cell_angle_beta 100.04
_cell_angle_gamma 90.00
loop_
_space_group_symop_operation_xyz
'x,y,z'
'-x,-y,-z'
'-x,y,-z'
'x,-y,z'
'x+1/2,y+1/2,z'
'-x+1/2,-y+1/2,-z'
'-x+1/2,y+1/2,-z'
'x+1/2,-y+1/2,z'
loop_
_atom_site_label
_atom_site_fract_x
_atom_site_fract_y
_atom_site_fract_z
_atom_site_occupancy
Nd1 0.000 0.000 0.000 1
Nd2 0.000 0.333 0.000 1
Dy1 0.000 0.167 0.500 1
Y1 0.000 0.500 0.500 1
Ho1 0.249 0.000 0.747 1
Ho2 0.250 0.167 0.253 1
```



Entry 6:
Starting from the GGA-PBE geometry in Alexandria, the XRD peak list of SiH18C2N8O2F6 was computed for Cu Ka.
No peak broadening, texture or thermal motion is included.

Peak list (8 most intense, 10 to 90 degrees two-theta, low angle first)
2theta, intensity, index
13.98, 31, 0 1 0
16.86, 100, 1 0 1
19.00, 48, 1 0 -1
19.83, 19, 1 1 0
26.47, 84, 0 2 1
29.84, 20, 0 2 2
30.53, 21, 2 -1 0
34.58, 22, 1 1 3

```
data_SiH18C2N8O2F6
_space_group_name_H-M_alt 'P -1'
_space_group_IT_number 2
_cell_length_a 6.554
_cell_length_b 6.754
_cell_length_c 8.142
_cell_angle_alpha 69.78
_cell_angle_beta 83.31
_cell_angle_gamma 89.20
loop_
_space_group_symop_operation_xyz
'x,y,z'
'-x,-y,-z'
loop_
_atom_site_label
_atom_site_fract_x
_atom_site_fract_y
_atom_site_fract_z
_atom_site_occupancy
Si1 0.000 0.000 0.000 1
H1 0.127 0.786 0.702 1
H2 0.128 0.541 0.700 1
H3 0.168 0.184 0.618 1
H4 0.223 0.368 0.064 1
H5 0.224 0.315 0.389 1
H6 0.249 0.593 0.080 1
H7 0.293 0.857 0.327 1
H8 0.457 0.096 0.787 1
H9 0.469 0.630 0.747 1
C1 0.475 0.240 0.520 1
N1 0.186 0.691 0.634 1
N2 0.272 0.255 0.511 1
N3 0.400 0.688 0.633 1
N4 0.447 0.841 0.327 1
O1 0.270 0.442 0.139 1
F1 0.037 0.972 0.213 1
F2 0.132 0.239 0.924 1
F3 0.228 0.876 0.976 1
```



Entry 7:
Starting from the GGA-PBE geometry in Alexandria, the XRD peak list of Pm3Tm4Pd4 was computed for Cu Ka.
No peak broadening, texture or thermal motion is included.

Peak list (8 most intense, 10 to 90 degrees two-theta, low angle first)
2theta, intensity, index
30.80, 100, 1 2 1
31.29, 28, 0 1 5
32.20, 45, 1 1 4
34.72, 17, 1 0 5
35.01, 30, 1 2 3
38.10, 44, 2 0 0
42.34, 21, 1 2 5
42.48, 17, 0 2 6

```
data_Pm3Tm4Pd4
_space_group_name_H-M_alt 'I m m m'
_space_group_IT_number 71
_space_group_name_Hall '-I 2 2'
_cell_length_a 4.724
_cell_length_b 7.579
_cell_length_c 15.431
_cell_angle_alpha 90.00
_cell_angle_beta 90.00
_cell_angle_gamma 90.00
loop_
_atom_site_label
_atom_site_fract_x
_atom_site_fract_y
_atom_site_fract_z
_atom_site_occupancy
Pm1 0.000 0.000 0.000 1
Pm2 0.000 0.500 0.103 1
Tm1 0.000 0.285 0.327 1
Pd1 0.000 0.000 0.205 1
Pd2 0.000 0.187 0.500 1
```



Entry 8:
Starting from the GGA-PBE geometry in Alexandria, the XRD peak list of Be17NbTc was computed for Cu Ka.
No peak broadening, texture or thermal motion is included.

Peak list (8 most intense, 10 to 90 degrees two-theta, low angle first)
2theta, intensity, index
16.29, 68, 1 0 1
21.81, 28, 0 1 2
24.34, 100, 1 1 0
25.10, 32, 0 0 3
35.25, 96, 1 1 3
42.84, 36, 3 0 0
49.88, 28, 2 2 0
50.29, 53, 0 3 3

```
data_Be17NbTc
_space_group_name_H-M_alt 'R 3 m'
_space_group_IT_number 160
_space_group_name_Hall 'R 3 -2"'
_cell_length_a 7.3133
_cell_length_b 7.3133
_cell_length_c 10.6428
_cell_angle_alpha 90.00
_cell_angle_beta 90.00
_cell_angle_gamma 120.00
loop_
_atom_site_label
_atom_site_fract_x
_atom_site_fract_y
_atom_site_fract_z
_atom_site_occupancy
Be1 0.0000 0.0000 0.0554 1
Be2 0.0000 0.0000 0.2544 1
Be3 0.0009 0.5004 0.0000 1
Be4 0.0046 0.3014 0.1523 1
Be5 0.0058 0.5029 0.6507 1
Be6 0.0117 0.5058 0.3071 1
Nb1 0.0000 0.0000 0.8130 1
Tc1 0.0000 0.0000 0.4892 1
```



Entry 9:
Starting from the GGA-PBE geometry in Alexandria, the XRD peak list of Ba2TaSe6 was computed for Cu Ka.
No peak broadening, texture or thermal motion is included.

Peak list (8 most intense, 10 to 90 degrees two-theta, low angle first)
2theta, intensity, index
12.66, 39, 2 0 0
21.72, 78, 1 1 -1
22.00, 71, 3 1 0
32.44, 100, 2 2 1
37.34, 59, 4 2 -1
37.88, 37, 2 0 -2
38.54, 36, 6 0 0
38.69, 19, 3 3 0

```
data_Ba2TaSe6
_space_group_name_H-M_alt 'C 1 2/m 1'
_space_group_IT_number 12
_cell_length_a 14.103
_cell_length_b 8.052
_cell_length_c 4.879
_cell_angle_alpha 90.00
_cell_angle_beta 96.50
_cell_angle_gamma 90.00
loop_
_space_group_symop_operation_xyz
'x,y,z'
'-x,-y,-z'
'-x,y,-z'
'x,-y,z'
'x+1/2,y+1/2,z'
'-x+1/2,-y+1/2,-z'
'-x+1/2,y+1/2,-z'
'x+1/2,-y+1/2,z'
loop_
_atom_site_label
_atom_site_fract_x
_atom_site_fract_y
_atom_site_fract_z
_atom_site_occupancy
Ba1 0.170 0.000 0.173 1
Ta1 0.000 0.500 0.500 1
Se1 0.000 0.294 0.000 1
Se2 0.134 0.278 0.662 1
```



Entry 10:
Starting from the GGA-PBE geometry in Alexandria, the XRD peak list of La3AuO was computed for Cu Ka.
No peak broadening, texture or thermal motion is included.

Peak list (8 most intense, 10 to 90 degrees two-theta, low angle first)
2theta, intensity, index
29.85, 100, 2 2 0
30.28, 81, 1 1 2
31.65, 59, 0 2 2
31.78, 35, 1 3 1
32.70, 39, 2 2 1
35.10, 41, 0 4 0
35.91, 58, 2 0 2
39.96, 34, 3 1 1

```
data_La3AuO
_space_group_name_H-M_alt 'P n m a'
_space_group_IT_number 62
_cell_length_a 7.382
_cell_length_b 10.228
_cell_length_c 6.786
_cell_angle_alpha 90.00
_cell_angle_beta 90.00
_cell_angle_gamma 90.00
loop_
_space_group_symop_operation_xyz
'x,y,z'
'-x,-y,-z'
'-x+1/2,-y,z+1/2'
'x+1/2,y,-z+1/2'
'x+1/2,-y+1/2,-z+1/2'
'-x+1/2,y+1/2,z+1/2'
'-x,y+1/2,-z'
'x,-y+1/2,z'
loop_
_atom_site_label
_atom_site_fract_x
_atom_site_fract_y
_atom_site_fract_z
_atom_site_occupancy
La1 0.019 0.250 0.109 1
La2 0.201 0.048 0.691 1
Au1 0.083 0.750 0.445 1
O1 0.000 0.000 0.000 1
```



Entry 11:
Starting from the GGA-PBE geometry in Alexandria, the XRD peak list of Dy2Er2N3 was computed for Cu Ka.
No peak broadening, texture or thermal motion is included.

Peak list (8 most intense, 10 to 90 degrees two-theta, low angle first)
2theta, intensity, index
31.51, 76, 4 0 0
31.58, 78, 1 1 1
36.59, 100, 2 0 2
52.69, 56, 5 1 1
52.84, 12, 0 2 0
62.67, 27, 3 1 3
62.77, 27, 6 0 2
65.93, 17, 2 2 2

```
data_Dy2Er2N3
_space_group_name_H-M_alt 'C 1 2/m 1'
_space_group_IT_number 12
_cell_length_a 11.522
_cell_length_b 3.465
_cell_length_c 6.028
_cell_angle_alpha 90.00
_cell_angle_beta 100.07
_cell_angle_gamma 90.00
loop_
_space_group_symop_operation_xyz
'x,y,z'
'-x,-y,-z'
'-x,y,-z'
'x,-y,z'
'x+1/2,y+1/2,z'
'-x+1/2,-y+1/2,-z'
'-x+1/2,y+1/2,-z'
'x+1/2,-y+1/2,z'
loop_
_atom_site_label
_atom_site_fract_x
_atom_site_fract_y
_atom_site_fract_z
_atom_site_occupancy
Dy1 0.133 0.000 0.365 1
Er1 0.126 0.500 0.887 1
N1 0.000 0.000 0.000 1
N2 0.248 0.500 0.247 1
```



Entry 12:
Starting from the GGA-PBE geometry in Alexandria, the XRD peak list of Er3TcC3 was computed for Cu Ka.
No peak broadening, texture or thermal motion is included.

Peak list (8 most intense, 10 to 90 degrees two-theta, low angle first)
2theta, intensity, index
32.25, 100, 2 2 1
33.08, 18, 1 3 1
34.69, 18, 0 4 0
35.40, 27, 0 0 2
41.79, 11, 4 0 0
50.40, 13, 0 4 2
61.57, 14, 2 2 3
66.79, 12, 3 5 2

```
data_Er3TcC3
_space_group_name_H-M_alt 'C m c m'
_space_group_IT_number 63
_space_group_name_Hall '-C 2c 2'
_cell_length_a 8.646
_cell_length_b 10.344
_cell_length_c 5.072
_cell_angle_alpha 90.00
_cell_angle_beta 90.00
_cell_angle_gamma 90.00
loop_
_atom_site_label
_atom_site_fract_x
_atom_site_fract_y
_atom_site_fract_z
_atom_site_occupancy
Er1 0.000 0.108 0.250 1
Er2 0.215 0.381 0.250 1
Tc1 0.000 0.310 0.750 1
C1 0.000 0.123 0.750 1
C2 0.209 0.378 0.750 1
```